No. 1
Theoretical PXRD pattern
Compound: Na5Ni2P2C2O14
Radiation: a wavelength of 1.5418 Å
Structure: a DFT-relaxed cell (GGA+U, the Materials Project)
Peak positions follow from Bragg's law for the DFT cell and can differ from measured ones.

Most intense lines, 2θ = 10–90°, in order of rising 2θ:
Position (°2θ), I/Imax, hkl
16.67, 49.2, 1 1 0
19.51, 35.1, 0 1 2
19.97, 46.8, 0 1 -2
26.01, 34.6, 0 2 2
26.86, 100.0, 2 0 0
33.46, 25.4, -2 1 2
33.68, 65.9, 2 2 0
34.40, 91.3, 0 0 4
37.83, 35.0, 1 3 -2
41.98, 29.3, -1 2 4
49.30, 26.4, 2 4 0
55.35, 34.0, 4 0 0

Crystal structure
Cell: 6.639 8.886 10.435 Å, 88.50 89.91 89.79°
Fractional coordinates of all 50 atoms:
Na (0.000, 0.000, 0.000)
Na (0.000, 0.001, 0.510)
Na (0.236, 0.192, 0.741)
Na (0.256, 0.177, 0.243)
Na (0.270, 0.644, 0.481)
Na (0.270, 0.648, 0.995)
Na (0.519, 0.833, 0.726)
Na (0.748, 0.644, 0.480)
Na (0.749, 0.647, 0.996)
Na (0.767, 0.179, 0.245)
Ni (0.007, 0.566, 0.726)
Ni (0.011, 0.568, 0.226)
Ni (0.514, 0.260, 0.509)
Ni (0.514, 0.261, 0.001)
P (0.010, 0.333, 0.471)
P (0.011, 0.335, 0.976)
P (0.510, 0.492, 0.256)
P (0.510, 0.494, 0.755)
C (0.010, 0.849, 0.258)
C (0.016, 0.847, 0.759)
C (0.507, 0.978, 0.473)
C (0.507, 0.980, 0.972)
O (0.007, 0.751, 0.858)
O (0.008, 0.482, 0.544)
O (0.008, 0.788, 0.645)
O (0.009, 0.754, 0.356)
O (0.009, 0.792, 0.144)
O (0.011, 0.992, 0.274)
O (0.012, 0.485, 0.048)
O (0.016, 0.374, 0.830)
O (0.019, 0.370, 0.323)
O (0.030, 0.987, 0.773)
O (0.195, 0.233, 0.508)
O (0.197, 0.234, 0.011)
O (0.323, 0.590, 0.220)
O (0.324, 0.597, 0.723)
O (0.500, 0.075, 0.875)
O (0.502, 0.037, 0.586)
O (0.503, 0.346, 0.684)
O (0.509, 0.459, 0.404)
O (0.509, 0.835, 0.461)
O (0.509, 0.838, 0.956)
O (0.510, 0.073, 0.376)
O (0.510, 0.342, 0.184)
O (0.511, 0.460, 0.904)
O (0.515, 0.042, 0.083)
O (0.696, 0.594, 0.720)
O (0.698, 0.588, 0.220)
O (0.822, 0.233, 0.496)
O (0.826, 0.237, 0.014)

=====

No. 2
Theoretical PXRD pattern
Compound: Na3NiPCO7
Radiation: a wavelength of 1.5418 Å
Structure: a DFT-relaxed cell (GGA+U, the Materials Project)
Peak positions follow from Bragg's law for the DFT cell and can differ from measured ones.

Most intense lines, 2θ = 10–90°, in order of rising 2θ:
Position (°2θ), I/Imax, hkl
16.62, 63.8, 1 0 0
16.80, 29.4, 0 1 1
20.03, 27.1, 0 0 2
27.16, 77.5, 0 2 0
33.57, 100.0, 2 0 0
33.69, 49.7, 1 2 1
33.98, 37.2, 0 2 2
34.47, 49.4, 1 0 -3
34.95, 21.3, 1 0 3
37.60, 39.3, 1 1 3
48.77, 29.8, 2 2 2
56.02, 27.1, 0 4 0

Crystal structure
Cell: 5.335 6.566 8.868 Å, 90.00 90.87 90.00°
Fractional coordinates of all 26 atoms:
Na (0.002, 0.000, 0.498)
Na (0.061, 0.261, 0.162)
Na (0.498, 0.004, 0.001)
Na (0.502, 0.504, 0.999)
Na (0.939, 0.761, 0.838)
Na (0.998, 0.500, 0.502)
Ni (0.453, 0.752, 0.287)
Ni (0.547, 0.252, 0.713)
P (0.481, 0.752, 0.653)
P (0.519, 0.252, 0.347)
C (0.001, 0.752, 0.164)
C (0.999, 0.252, 0.836)
O (0.065, 0.749, 0.305)
O (0.177, 0.752, 0.062)
O (0.193, 0.750, 0.641)
O (0.235, 0.254, 0.878)
O (0.393, 0.254, 0.504)
O (0.419, 0.064, 0.254)
O (0.425, 0.440, 0.253)
O (0.575, 0.940, 0.747)
O (0.581, 0.564, 0.746)
O (0.607, 0.754, 0.496)
O (0.765, 0.754, 0.122)
O (0.807, 0.250, 0.359)
O (0.823, 0.252, 0.938)
O (0.935, 0.249, 0.695)